Simulated powder XRD pattern of Ac2TbZrO6 for Cu Kα, from a GGA-PBE-relaxed structure.
No peak broadening, texture or thermal motion is included.

Atomic structure:
Cell lengths 6.051, 6.119, 10.399 Å; angles 90.00, 124.99, 90.00 degrees
Fractional positions:
Ac 0.235 0.059 0.245
Ac 0.235 0.441 0.745
Ac 0.765 0.559 0.255
Ac 0.765 0.941 0.755
Tb 0.500 0.000 0.000
Tb 0.500 0.500 0.500
Zr 0.000 0.000 0.500
Zr 0.000 0.500 0.000
O 0.134 0.203 0.941
O 0.134 0.297 0.441
O 0.245 0.691 0.946
O 0.245 0.809 0.446
O 0.352 0.031 0.743
O 0.352 0.469 0.243
O 0.648 0.531 0.757
O 0.648 0.969 0.257
O 0.755 0.191 0.554
O 0.755 0.309 0.054
O 0.866 0.703 0.559
O 0.866 0.797 0.059

Largest 8 diffraction maxima, sorted by position, 2θ = 10–80°:
29.19°, d 3.059, I = 26
29.40°, d 3.038, I = 66
29.59°, d 3.019, I = 100
42.00°, d 2.151, I = 25
42.44°, d 2.130, I = 17
52.17°, d 1.753, I = 16
52.32°, d 1.749, I = 20
52.58°, d 1.741, I = 16


Simulated powder XRD pattern of Ac3TcO6 for Cu Kα, from a GGA-PBE-relaxed structure.
No peak broadening, texture or thermal motion is included.

Atomic structure:
Cell lengths 7.888, 7.888, 6.054 Å; angles 90.00, 90.00, 105.37 degrees
Fractional positions:
Ac 0.100 0.900 0.500
Ac 0.172 0.410 0.485
Ac 0.410 0.172 0.985
Ac 0.590 0.828 0.485
Ac 0.828 0.590 0.985
Ac 0.900 0.100 0.000
Tc 0.322 0.678 0.011
Tc 0.678 0.322 0.511
O 0.103 0.495 0.041
O 0.152 0.161 0.750
O 0.161 0.152 0.250
O 0.282 0.718 0.341
O 0.410 0.590 0.754
O 0.495 0.103 0.541
O 0.505 0.897 0.041
O 0.590 0.410 0.254
O 0.718 0.282 0.841
O 0.839 0.848 0.750
O 0.848 0.839 0.250
O 0.897 0.505 0.541

Largest 8 diffraction maxima, sorted by position, 2θ = 10–80°:
27.55°, d 3.238, I = 24
27.70°, d 3.220, I = 100
28.46°, d 3.137, I = 20
29.51°, d 3.027, I = 27
41.45°, d 2.178, I = 18
41.78°, d 2.162, I = 14
51.23°, d 1.783, I = 24
54.92°, d 1.672, I = 12